[1]
# Pr4Os
Simulated X-ray powder pattern, Cu Kα, 1.54184 Å. Input: a cell relaxed with PBE.
Peak positions follow from Bragg's law for the DFT cell and can differ from measured ones.

Most intense lines, 10° ≤ 2θ ≤ 90°, in order of rising 2θ:
2θ 22.1, I 318; 2θ 27.2, I 1000; 2θ 31.5, I 218; 2θ 34.4, I 282; 2θ 41.3, I 238; 2θ 45.2, I 630; 2θ 53.5, I 387; 2θ 83.4, I 167

Structural model:
abc: 8.031 8.031 8.031
angles: 60.00 60.00 60.00
Sites, in units of the cell vectors:
Pr (0.216, 0.761, 0.761)
Pr (0.239, 0.239, 0.239)
Pr (0.239, 0.239, 0.784)
Pr (0.239, 0.784, 0.239)
Pr (0.761, 0.216, 0.761)
Pr (0.761, 0.761, 0.216)
Pr (0.761, 0.761, 0.761)
Pr (0.784, 0.239, 0.239)
Os (0.375, 0.375, 0.375)
Os (0.625, 0.625, 0.625)

***

[2]
# BeH4SO4
Simulated X-ray powder pattern, Cu Kα, 1.54184 Å. Input: a cell relaxed with PBE.
Peak positions follow from Bragg's law for the DFT cell and can differ from measured ones.

Most intense lines, 10° ≤ 2θ ≤ 90°, in order of rising 2θ:
2θ 15.4, I 1000; 2θ 21.8, I 235; 2θ 29.2, I 467; 2θ 33.2, I 285; 2θ 36.8, I 99; 2θ 42.7, I 95; 2θ 48.4, I 80; 2θ 59.1, I 60

Structural model:
abc: 6.518 6.518 6.518
angles: 102.73 102.73 124.02
Sites, in units of the cell vectors:
Be (0.000, 0.500, 0.500)
Be (0.500, 0.000, 0.500)
H (0.052, 0.552, 0.742)
H (0.190, 0.690, 0.742)
H (0.310, 0.052, 0.500)
H (0.448, 0.190, 0.500)
H (0.552, 0.810, 0.500)
H (0.690, 0.948, 0.500)
H (0.810, 0.310, 0.258)
H (0.948, 0.448, 0.258)
S (0.000, 0.000, 0.000)
S (0.500, 0.500, 0.000)
O (0.089, 0.169, 0.258)
O (0.169, 0.911, 0.079)
O (0.331, 0.411, 0.742)
O (0.411, 0.669, 0.079)
O (0.589, 0.331, 0.921)
O (0.669, 0.589, 0.258)
O (0.831, 0.089, 0.921)
O (0.911, 0.831, 0.742)

***

[3]
# La3Si2
Simulated X-ray powder pattern, Cu Kα, 1.54184 Å. Input: a cell relaxed with PBE.
Peak positions follow from Bragg's law for the DFT cell and can differ from measured ones.

Most intense lines, 10° ≤ 2θ ≤ 90°, in order of rising 2θ:
2θ 25.1, I 418; 2θ 25.6, I 385; 2θ 30.2, I 1000; 2θ 32.3, I 931; 2θ 35.8, I 508; 2θ 40.6, I 251; 2θ 53.2, I 319; 2θ 55.3, I 289

Structural model:
abc: 7.933 7.933 4.439
angles: 90.00 90.00 90.00
Sites, in units of the cell vectors:
La (0.000, 0.000, 0.000)
La (0.176, 0.324, 0.500)
La (0.324, 0.824, 0.500)
La (0.500, 0.500, 0.000)
La (0.676, 0.176, 0.500)
La (0.824, 0.676, 0.500)
Si (0.109, 0.609, 0.000)
Si (0.391, 0.109, 0.000)
Si (0.609, 0.891, 0.000)
Si (0.891, 0.391, 0.000)

***

[4]
# NdI2
Simulated X-ray powder pattern, Cu Kα, 1.54184 Å. Input: a cell relaxed with PBE.
Peak positions follow from Bragg's law for the DFT cell and can differ from measured ones.

Most intense lines, 10° ≤ 2θ ≤ 90°, in order of rising 2θ:
2θ 11.3, I 586; 2θ 28.6, I 1000; 2θ 32.6, I 593; 2θ 36.8, I 650; 2θ 46.8, I 215; 2θ 55.8, I 304; 2θ 57.8, I 220; 2θ 61.0, I 296

Structural model:
abc: 8.308 8.308 8.308
angles: 152.97 152.97 38.60
Sites, in units of the cell vectors:
Nd (0.000, 0.000, 0.000)
I (0.380, 0.380, 0.000)
I (0.620, 0.620, 0.000)

***

[5]
# Sc2CoGe2
Simulated X-ray powder pattern, Cu Kα, 1.54184 Å. Input: a cell relaxed with PBE.
Peak positions follow from Bragg's law for the DFT cell and can differ from measured ones.

Most intense lines, 10° ≤ 2θ ≤ 90°, in order of rising 2θ:
2θ 10.5, I 485; 2θ 35.0, I 441; 2θ 35.4, I 392; 2θ 36.1, I 634; 2θ 39.0, I 752; 2θ 42.8, I 621; 2θ 43.2, I 1000; 2θ 44.9, I 631

Structural model:
abc: 5.420 5.420 9.611
angles: 116.19 116.19 43.70
Sites, in units of the cell vectors:
Sc (0.004, 0.004, 0.332)
Sc (0.182, 0.182, 0.105)
Sc (0.818, 0.818, 0.895)
Sc (0.996, 0.996, 0.668)
Co (0.276, 0.276, 0.630)
Co (0.724, 0.724, 0.370)
Ge (0.352, 0.352, 0.426)
Ge (0.482, 0.482, 0.127)
Ge (0.518, 0.518, 0.873)
Ge (0.648, 0.648, 0.574)

***

[6]
# Hf2TlC
Simulated X-ray powder pattern, Cu Kα, 1.54184 Å. Input: a cell relaxed with PBE.
Peak positions follow from Bragg's law for the DFT cell and can differ from measured ones.

Most intense lines, 10° ≤ 2θ ≤ 90°, in order of rising 2θ:
2θ 30.8, I 229; 2θ 35.9, I 1000; 2θ 36.3, I 207; 2θ 48.4, I 154; 2θ 54.9, I 207; 2θ 65.1, I 180; 2θ 67.3, I 163; 2θ 67.6, I 209

Structural model:
abc: 3.347 3.347 14.841
angles: 90.00 90.00 120.00
Sites, in units of the cell vectors:
Hf (0.333, 0.667, 0.082)
Hf (0.333, 0.667, 0.418)
Hf (0.667, 0.333, 0.582)
Hf (0.667, 0.333, 0.918)
Tl (0.333, 0.667, 0.750)
Tl (0.667, 0.333, 0.250)
C (0.000, 0.000, 0.000)
C (0.000, 0.000, 0.500)

***

[7]
# TbCeO4
Simulated X-ray powder pattern, Cu Kα, 1.54184 Å. Input: a cell relaxed with PBE.
Peak positions follow from Bragg's law for the DFT cell and can differ from measured ones.

Most intense lines, 10° ≤ 2θ ≤ 90°, in order of rising 2θ:
2θ 28.3, I 1000; 2θ 32.8, I 303; 2θ 47.0, I 539; 2θ 55.8, I 450; 2θ 58.5, I 87; 2θ 75.9, I 181; 2θ 78.2, I 119; 2θ 87.4, I 170

Structural model:
abc: 3.865 3.865 5.471
angles: 90.00 90.00 90.00
Sites, in units of the cell vectors:
Tb (0.000, 0.000, 0.000)
Ce (0.500, 0.500, 0.500)
O (0.000, 0.500, 0.254)
O (0.000, 0.500, 0.746)
O (0.500, 0.000, 0.254)
O (0.500, 0.000, 0.746)

***

[8]
# TbCu2S2
Simulated X-ray powder pattern, Cu Kα, 1.54184 Å. Input: a cell relaxed with PBE.
Peak positions follow from Bragg's law for the DFT cell and can differ from measured ones.

Most intense lines, 10° ≤ 2θ ≤ 90°, in order of rising 2θ:
2θ 13.9, I 164; 2θ 29.6, I 1000; 2θ 38.6, I 720; 2θ 45.9, I 476; 2θ 55.6, I 169; 2θ 61.5, I 177; 2θ 64.4, I 263; 2θ 80.0, I 164

Structural model:
abc: 3.954 3.954 6.372
angles: 90.00 90.00 120.00
Sites, in units of the cell vectors:
Tb (0.000, 0.000, 0.000)
Cu (0.333, 0.667, 0.329)
Cu (0.667, 0.333, 0.671)
S (0.333, 0.667, 0.729)
S (0.667, 0.333, 0.271)